KMn4Cl12: theoretical X-ray powder pattern (Cu Ka), based on a PBE-relaxed structure.
No peak broadening, texture or thermal motion is included.

Most intense lines, 15° ≤ 2θ ≤ 90°, by angle:
| h k l | two_theta | d_spacing | intensity |
| --- | --- | --- | --- |
| 2 0 0 | 19.08 | 4.652 | 100 |
| 2 2 0 | 27.11 | 3.289 | 17 |
| 3 0 1 | 30.38 | 2.942 | 53 |
| 3 1 2 | 36.12 | 2.486 | 47 |
| 4 0 0 | 38.71 | 2.326 | 48 |
| 4 2 0 | 43.50 | 2.080 | 48 |
| 4 2 2 | 47.90 | 1.899 | 36 |
| 4 4 0 | 55.91 | 1.645 | 15 |
| 5 3 0 | 57.79 | 1.596 | 21 |
| 4 4 2 | 59.63 | 1.551 | 12 |
| 5 2 3 | 61.44 | 1.509 | 22 |
| 8 2 2 | 89.36 | 1.096 | 23 |

Crystal structure
```
data_KMn4Cl12
_chemical_formula_sum 'K2 Mn8 Cl24'
_space_group_name_H-M_alt 'I m -3'
_space_group_IT_number 204
_space_group_name_Hall '-I 2 2 3'
_cell_length_a 9.303
_cell_length_b 9.303
_cell_length_c 9.303
_cell_angle_alpha 90.00
_cell_angle_beta 90.00
_cell_angle_gamma 90.00
loop_
_atom_site_label
_atom_site_fract_x
_atom_site_fract_y
_atom_site_fract_z
_atom_site_occupancy
K1 0.000 0.000 0.000 1
Mn1 0.250 0.250 0.250 1
Cl1 0.000 0.297 0.195 1
```



BaAc3B4S12: theoretical X-ray powder pattern (Cu Ka), based on a PBE-relaxed structure.
No peak broadening, texture or thermal motion is included.

Most intense lines, 15° ≤ 2θ ≤ 90°, by angle:
| h k l | two_theta | d_spacing | intensity |
| --- | --- | --- | --- |
| 0 2 1 | 17.38 | 5.103 | 84 |
| 2 0 2 | 21.86 | 4.067 | 100 |
| 2 1 1 | 22.08 | 4.026 | 12 |
| 2 2 0 | 27.22 | 3.277 | 28 |
| 3 1 2 | 32.32 | 2.770 | 17 |
| 4 0 1 | 32.47 | 2.757 | 29 |
| 0 2 4 | 34.59 | 2.593 | 30 |
| 0 4 2 | 35.17 | 2.551 | 15 |
| 2 2 3 | 35.85 | 2.505 | 53 |
| 2 4 1 | 42.87 | 2.110 | 22 |
| 4 2 2 | 45.03 | 2.013 | 15 |
| 2 2 6 | 54.94 | 1.671 | 11 |

Crystal structure
```
data_BaAc3B4S12
_chemical_formula_sum 'Ba3 Ac9 B12 S36'
_space_group_name_H-M_alt 'R 3 2'
_space_group_IT_number 155
_space_group_name_Hall 'R 3 2"'
_cell_length_a 13.1063
_cell_length_b 13.1063
_cell_length_c 11.6597
_cell_angle_alpha 90.00
_cell_angle_beta 90.00
_cell_angle_gamma 120.00
loop_
_atom_site_label
_atom_site_fract_x
_atom_site_fract_y
_atom_site_fract_z
_atom_site_occupancy
Ba1 0.0000 0.0000 0.0000 1
Ac1 0.0000 0.5227 0.0000 1
B1 0.0000 0.0000 0.5000 1
B2 0.0000 0.4716 0.5000 1
S1 0.0000 0.6107 0.5000 1
S2 0.0000 0.8615 0.5000 1
S3 0.0026 0.1930 0.8286 1
```



Ge: theoretical X-ray powder pattern (Cu Ka), based on a PBE-relaxed structure.
No peak broadening, texture or thermal motion is included.

Most intense lines, 15° ≤ 2θ ≤ 90°, by angle:
| h k l | two_theta | d_spacing | intensity |
| --- | --- | --- | --- |
| 1 1 0 | 37.82 | 2.379 | 100 |
| 2 0 0 | 54.56 | 1.682 | 17 |
| 2 1 1 | 68.30 | 1.373 | 34 |
| 2 2 0 | 80.81 | 1.189 | 11 |

Crystal structure
```
data_Ge
_chemical_formula_sum 'Ge2'
_space_group_name_H-M_alt 'I m -3 m'
_space_group_IT_number 229
_space_group_name_Hall '-I 4 2 3'
_cell_length_a 3.364
_cell_length_b 3.364
_cell_length_c 3.364
_cell_angle_alpha 90.00
_cell_angle_beta 90.00
_cell_angle_gamma 90.00
loop_
_atom_site_label
_atom_site_fract_x
_atom_site_fract_y
_atom_site_fract_z
_atom_site_occupancy
Ge1 0.000 0.000 0.000 1
```



Pm2TmTh: theoretical X-ray powder pattern (Cu Ka), based on a PBE-relaxed structure.
No peak broadening, texture or thermal motion is included.

Most intense lines, 15° ≤ 2θ ≤ 90°, by angle:
| h k l | two_theta | d_spacing | intensity |
| --- | --- | --- | --- |
| 0 1 2 | 28.99 | 3.080 | 37 |
| 0 0 12 | 30.82 | 2.901 | 48 |
| 0 1 5 | 31.34 | 2.854 | 100 |
| 1 0 7 | 33.84 | 2.649 | 82 |
| 1 0 10 | 38.69 | 2.327 | 18 |
| 1 1 0 | 50.52 | 1.807 | 37 |
| 0 1 17 | 53.47 | 1.714 | 23 |
| 1 0 19 | 58.36 | 1.581 | 17 |
| 1 1 12 | 60.35 | 1.534 | 44 |
| 2 0 5 | 60.66 | 1.527 | 15 |
| 0 2 7 | 62.20 | 1.493 | 14 |
| 1 1 24 | 85.92 | 1.131 | 17 |

Crystal structure
```
data_Pm2TmTh
_chemical_formula_sum 'Pm6 Tm3 Th3'
_space_group_name_H-M_alt 'R 3 m'
_space_group_IT_number 160
_space_group_name_Hall 'R 3 -2"'
_cell_length_a 3.6135
_cell_length_b 3.6135
_cell_length_c 34.8169
_cell_angle_alpha 90.00
_cell_angle_beta 90.00
_cell_angle_gamma 120.00
loop_
_atom_site_label
_atom_site_fract_x
_atom_site_fract_y
_atom_site_fract_z
_atom_site_occupancy
Pm1 0.0000 0.0000 0.0000 1
Pm2 0.0000 0.0000 0.1676 1
Tm1 0.0000 0.0000 0.4176 1
Th1 0.0000 0.0000 0.5838 1
```



PuNbCdO6: theoretical X-ray powder pattern (Cu Ka), based on a PBE-relaxed structure.
No peak broadening, texture or thermal motion is included.

Most intense lines, 15° ≤ 2θ ≤ 90°, by angle:
| h k l | two_theta | d_spacing | intensity |
| --- | --- | --- | --- |
| 0 0 2 | 18.65 | 4.759 | 25 |
| 1 0 1 | 20.67 | 4.297 | 28 |
| 1 0 2 | 26.33 | 3.385 | 100 |
| 1 1 0 | 32.20 | 2.780 | 59 |
| 1 1 2 | 37.46 | 2.401 | 25 |
| 2 0 2 | 42.06 | 2.148 | 28 |
| 1 1 4 | 50.48 | 1.808 | 50 |
| 2 1 2 | 53.93 | 1.700 | 27 |
| 3 0 0 | 57.40 | 1.605 | 19 |
| 3 0 4 | 70.81 | 1.331 | 11 |
| 4 -1 2 | 73.67 | 1.286 | 11 |
| 4 -2 4 | 79.92 | 1.200 | 12 |

Crystal structure
```
data_PuNbCdO6
_chemical_formula_sum 'Pu2 Nb2 Cd2 O12'
_space_group_name_H-M_alt 'P -3 1 c'
_space_group_IT_number 163
_space_group_name_Hall '-P 3 2c'
_cell_length_a 5.5607
_cell_length_b 5.5607
_cell_length_c 9.5179
_cell_angle_alpha 90.00
_cell_angle_beta 90.00
_cell_angle_gamma 120.00
loop_
_atom_site_label
_atom_site_fract_x
_atom_site_fract_y
_atom_site_fract_z
_atom_site_occupancy
Pu1 0.3333 0.6667 0.2500 1
Nb1 0.3333 0.6667 0.7500 1
Cd1 0.0000 0.0000 0.0000 1
O1 0.0146 0.3673 0.6376 1
```



DyCd4Pd2: theoretical X-ray powder pattern (Cu Ka), based on a PBE-relaxed structure.
No peak broadening, texture or thermal motion is included.

Most intense lines, 15° ≤ 2θ ≤ 90°, by angle:
| h k l | two_theta | d_spacing | intensity |
| --- | --- | --- | --- |
| 3 1 0 | 31.97 | 2.800 | 32 |
| 2 1 1 | 32.40 | 2.763 | 100 |
| 2 2 1 | 36.98 | 2.431 | 79 |
| 3 0 1 | 38.40 | 2.344 | 10 |
| 3 1 1 | 39.78 | 2.266 | 21 |
| 4 1 0 | 42.08 | 2.147 | 34 |
| 0 0 2 | 47.11 | 1.929 | 25 |
| 4 1 1 | 48.52 | 1.876 | 12 |
| 5 0 1 | 57.25 | 1.609 | 17 |
| 3 1 2 | 58.07 | 1.588 | 11 |
| 4 1 2 | 64.99 | 1.435 | 18 |
| 6 3 1 | 76.25 | 1.249 | 26 |

Crystal structure
```
data_DyCd4Pd2
_chemical_formula_sum 'Dy2 Cd8 Pd4'
_space_group_name_H-M_alt 'P 42/m n m'
_space_group_IT_number 136
_space_group_name_Hall '-P 4n 2n'
_cell_length_a 8.854
_cell_length_b 8.854
_cell_length_c 3.858
_cell_angle_alpha 90.00
_cell_angle_beta 90.00
_cell_angle_gamma 90.00
loop_
_atom_site_label
_atom_site_fract_x
_atom_site_fract_y
_atom_site_fract_z
_atom_site_occupancy
Dy1 0.000 0.000 0.000 1
Cd1 0.096 0.335 0.500 1
Pd1 0.171 0.829 0.500 1
```



Ca5Ta3: theoretical X-ray powder pattern (Cu Ka), based on a PBE-relaxed structure.
No peak broadening, texture or thermal motion is included.

Most intense lines, 15° ≤ 2θ ≤ 90°, by angle:
| h k l | two_theta | d_spacing | intensity |
| --- | --- | --- | --- |
| 0 2 0 | 15.89 | 5.578 | 73 |
| 1 3 0 | 26.21 | 3.400 | 32 |
| 0 4 0 | 32.09 | 2.789 | 48 |
| 2 2 1 | 32.40 | 2.763 | 100 |
| 0 0 2 | 36.87 | 2.438 | 32 |
| 3 1 1 | 37.95 | 2.371 | 53 |
| 1 1 2 | 39.32 | 2.291 | 20 |
| 0 2 2 | 40.37 | 2.234 | 19 |
| 3 3 1 | 44.59 | 2.032 | 32 |
| 0 4 2 | 49.67 | 1.836 | 27 |
| 3 5 1 | 55.99 | 1.642 | 19 |
| 2 6 1 | 57.41 | 1.605 | 18 |

Crystal structure
```
data_Ca5Ta3
_chemical_formula_sum 'Ca10 Ta6'
_space_group_name_H-M_alt 'C m m m'
_space_group_IT_number 65
_space_group_name_Hall '-C 2 2'
_cell_length_a 8.393
_cell_length_b 11.156
_cell_length_c 4.876
_cell_angle_alpha 90.00
_cell_angle_beta 90.00
_cell_angle_gamma 90.00
loop_
_atom_site_label
_atom_site_fract_x
_atom_site_fract_y
_atom_site_fract_z
_atom_site_occupancy
Ca1 0.000 0.000 0.000 1
Ca2 0.000 0.241 0.500 1
Ca3 0.250 0.250 0.000 1
Ta1 0.000 0.500 0.000 1
Ta2 0.162 0.500 0.500 1
```



Mg4Cd2Ag5: theoretical X-ray powder pattern (Cu Ka), based on a PBE-relaxed structure.
No peak broadening, texture or thermal motion is included.

Most intense lines, 15° ≤ 2θ ≤ 90°, by angle:
| h k l | two_theta | d_spacing | intensity |
| --- | --- | --- | --- |
| 0 1 1 | 17.15 | 5.170 | 84 |
| 0 2 0 | 25.29 | 3.522 | 22 |
| 1 0 1 | 27.07 | 3.293 | 50 |
| 1 2 -2 | 37.29 | 2.412 | 100 |
| 1 -1 2 | 38.13 | 2.360 | 19 |
| 1 1 2 | 38.29 | 2.351 | 90 |
| 0 3 1 | 40.25 | 2.241 | 39 |
| 2 0 -1 | 42.00 | 2.151 | 36 |
| 1 -3 0 | 44.30 | 2.045 | 18 |
| 0 1 -4 | 49.11 | 1.855 | 20 |
| 2 3 0 | 59.64 | 1.550 | 13 |
| 2 -1 3 | 66.56 | 1.405 | 15 |

Crystal structure
```
data_Mg4Cd2Ag5
_chemical_formula_sum 'Mg4 Cd2 Ag5'
_space_group_name_H-M_alt 'P -1'
_space_group_IT_number 2
_space_group_name_Hall '-P 1'
_cell_length_a 4.303
_cell_length_b 7.044
_cell_length_c 7.972
_cell_angle_alpha 90.39
_cell_angle_beta 105.64
_cell_angle_gamma 90.12
loop_
_atom_site_label
_atom_site_fract_x
_atom_site_fract_y
_atom_site_fract_z
_atom_site_occupancy
Mg1 0.060 0.284 0.116 1
Mg2 0.262 0.160 0.519 1
Cd1 0.422 0.389 0.842 1
Ag1 0.115 0.909 0.232 1
Ag2 0.200 0.553 0.400 1
Ag3 0.500 0.000 0.000 1
```



CsCdCu2Br8: theoretical X-ray powder pattern (Cu Ka), based on a PBE-relaxed structure.
No peak broadening, texture or thermal motion is included.

Most intense lines, 15° ≤ 2θ ≤ 90°, by angle:
| h k l | two_theta | d_spacing | intensity |
| --- | --- | --- | --- |
| 0 1 1 | 17.55 | 5.054 | 30 |
| 1 0 2 | 23.53 | 3.780 | 38 |
| 1 1 0 | 26.23 | 3.398 | 24 |
| 0 0 3 | 27.11 | 3.289 | 39 |
| 1 1 1 | 27.77 | 3.212 | 100 |
| 2 -1 2 | 31.99 | 2.798 | 90 |
| 1 1 4 | 45.44 | 1.996 | 59 |
| 3 0 0 | 46.28 | 1.962 | 59 |
| 3 0 3 | 54.47 | 1.685 | 32 |
| 2 2 2 | 57.37 | 1.606 | 16 |
| 4 -2 4 | 66.88 | 1.399 | 18 |
| 4 1 4 | 85.19 | 1.139 | 19 |

Crystal structure
```
data_CsCdCu2Br8
_chemical_formula_sum 'Cs1 Cd1 Cu2 Br8'
_space_group_name_H-M_alt 'P -3'
_space_group_IT_number 147
_space_group_name_Hall '-P 3'
_cell_length_a 6.7951
_cell_length_b 6.7951
_cell_length_c 9.8660
_cell_angle_alpha 90.00
_cell_angle_beta 90.00
_cell_angle_gamma 120.00
loop_
_atom_site_label
_atom_site_fract_x
_atom_site_fract_y
_atom_site_fract_z
_atom_site_occupancy
Cs1 0.0000 0.0000 0.0000 1
Cd1 0.0000 0.0000 0.5000 1
Cu1 0.3333 0.6667 0.7332 1
Br1 0.0079 0.6729 0.3288 1
Br2 0.3333 0.6667 0.9728 1
```



Pu3Al2Ga7: theoretical X-ray powder pattern (Cu Ka), based on a PBE-relaxed structure.
No peak broadening, texture or thermal motion is included.

Most intense lines, 15° ≤ 2θ ≤ 90°, by angle:
| h k l | two_theta | d_spacing | intensity |
| --- | --- | --- | --- |
| 0 0 2 | 19.43 | 4.568 | 59 |
| 1 0 2 | 24.33 | 3.659 | 31 |
| 1 1 -1 | 28.11 | 3.174 | 33 |
| 1 1 1 | 28.89 | 3.091 | 33 |
| 1 1 -2 | 32.59 | 2.748 | 61 |
| 1 0 3 | 33.20 | 2.699 | 28 |
| 2 1 -1 | 35.99 | 2.496 | 38 |
| 2 1 1 | 37.23 | 2.415 | 100 |
| 1 1 -3 | 39.23 | 2.296 | 33 |
| 2 1 -2 | 39.40 | 2.287 | 34 |
| 3 0 -1 | 39.91 | 2.259 | 32 |
| 0 2 0 | 47.66 | 1.908 | 42 |

Crystal structure
```
data_Pu3Al2Ga7
_chemical_formula_sum 'Pu3 Al2 Ga7'
_space_group_name_H-M_alt 'P 1 m 1'
_space_group_IT_number 6
_space_group_name_Hall 'P -2y'
_cell_length_a 6.869
_cell_length_b 3.817
_cell_length_c 9.169
_cell_angle_alpha 90.00
_cell_angle_beta 94.87
_cell_angle_gamma 90.00
loop_
_atom_site_label
_atom_site_fract_x
_atom_site_fract_y
_atom_site_fract_z
_atom_site_occupancy
Pu1 0.000 0.000 0.000 1
Pu2 0.052 0.500 0.402 1
Pu3 0.824 0.000 0.448 1
Al1 0.508 0.000 0.035 1
Al2 0.923 0.500 0.706 1
Ga1 0.188 0.000 0.653 1
Ga2 0.291 0.500 0.851 1
Ga3 0.304 0.500 0.156 1
Ga4 0.394 0.000 0.359 1
Ga5 0.502 0.500 0.578 1
Ga6 0.666 0.500 0.882 1
Ga7 0.721 0.500 0.185 1
```



K4IrSe4: theoretical X-ray powder pattern (Cu Ka), based on a PBE-relaxed structure.
No peak broadening, texture or thermal motion is included.

Most intense lines, 15° ≤ 2θ ≤ 90°, by angle:
| h k l | two_theta | d_spacing | intensity |
| --- | --- | --- | --- |
| 1 1 0 | 17.09 | 5.187 | 67 |
| 1 1 2 | 21.22 | 4.186 | 76 |
| 1 0 3 | 22.38 | 3.973 | 30 |
| 2 1 1 | 27.91 | 3.196 | 42 |
| 2 1 3 | 33.24 | 2.695 | 100 |
| 2 2 0 | 34.58 | 2.594 | 35 |
| 2 0 4 | 35.21 | 2.549 | 70 |
| 2 2 2 | 36.90 | 2.436 | 28 |
| 3 0 3 | 41.58 | 2.172 | 40 |
| 3 2 1 | 45.01 | 2.014 | 29 |
| 3 1 4 | 46.80 | 1.941 | 23 |
| 4 1 3 | 55.16 | 1.665 | 23 |

Crystal structure
```
data_K4IrSe4
_chemical_formula_sum 'K8 Ir2 Se8'
_space_group_name_H-M_alt 'I -4 2 m'
_space_group_IT_number 121
_space_group_name_Hall 'I -4 2'
_cell_length_a 7.336
_cell_length_b 7.336
_cell_length_c 14.180
_cell_angle_alpha 90.00
_cell_angle_beta 90.00
_cell_angle_gamma 90.00
loop_
_atom_site_label
_atom_site_fract_x
_atom_site_fract_y
_atom_site_fract_z
_atom_site_occupancy
K1 0.000 0.000 0.198 1
K2 0.000 0.500 0.000 1
Ir1 0.000 0.000 0.500 1
Se1 0.171 0.171 0.616 1
```